For Lu2B6Rh, a structure optimized by DFT (GGA-PBE) gives the simulated X-ray diffraction stick pattern in this record (CuKα).
Lines closer than 0.1° are merged.

Main lines, sorted by position (2θ from 5° to 70°):
2theta	I (rel.)	hkl
24.75	100.0	0 0 1
30.58	40.5	3 1 0
30.71	36.8	2 3 0
39.73	51.2	3 1 1
39.83	44.8	2 3 1
40.40	33.3	0 4 1
42.14	33.4	3 2 1
60.47	35.6	2 7 0

Crystal structure
Cell lengths 9.074, 11.390, 3.597 Å; angles 90.00, 90.00, 90.00 degrees
Space group Pbam (No. 55)
Asymmetric unit:
Lu 0.055 0.126 0.000
Lu 0.178 0.413 0.000
B 0.018 0.288 0.500
B 0.053 0.565 0.500
B 0.109 0.970 0.500
B 0.134 0.816 0.500
B 0.204 0.236 0.500
B 0.249 0.079 0.500
Rh 0.140 0.679 0.000